No. 1
Structure and computed powder diffractogram of Tb6Nd8Sm (a structure optimized by DFT (PBE); a wavelength of 1.5418 Å).

Crystal structure
Lattice parameters (Å, degrees): 9.5060 9.5060 6.5998 90.00 90.00 120.00
Fractional positions:
Tb (0.0927, 0.4384, 0.1600)
Tb (0.3457, 0.9073, 0.1600)
Tb (0.4384, 0.3457, 0.8400)
Tb (0.5616, 0.6543, 0.1600)
Tb (0.6543, 0.0927, 0.8400)
Tb (0.9073, 0.5616, 0.8400)
Nd (0.0354, 0.2861, 0.6672)
Nd (0.2507, 0.9646, 0.6672)
Nd (0.2861, 0.2507, 0.3328)
Nd (0.3333, 0.6667, 0.6213)
Nd (0.6667, 0.3333, 0.3787)
Nd (0.7139, 0.7493, 0.6672)
Nd (0.7493, 0.0354, 0.3328)
Nd (0.9646, 0.7139, 0.3328)
Sm (0.0000, 0.0000, 0.0000)

Largest 8 diffraction maxima, by angle, 10 to 90 degrees two-theta:
25.5 deg, intensity 25
28.7 deg, intensity 32
29.2 deg, intensity 23
31.8 deg, intensity 100
32.6 deg, intensity 22
33.0 deg, intensity 56
50.2 deg, intensity 18
50.8 deg, intensity 21

=====

No. 2
Structure and computed powder diffractogram of Tb5Nd3Sm (a structure optimized by DFT (PBE); a wavelength of 1.5418 Å).

Crystal structure
Lattice parameters (Å, degrees): 9.5385 9.5385 11.5833 108.02 108.02 39.15
Fractional positions:
Tb (0.0383, 0.6138, 0.2784)
Tb (0.0998, 0.9002, 0.7500)
Tb (0.1556, 0.5051, 0.6148)
Tb (0.3862, 0.9617, 0.2216)
Tb (0.4949, 0.8444, 0.8852)
Tb (0.5051, 0.1556, 0.1148)
Tb (0.6138, 0.0383, 0.7784)
Tb (0.8444, 0.4949, 0.3852)
Tb (0.9002, 0.0998, 0.2500)
Tb (0.9617, 0.3862, 0.7216)
Nd (0.0208, 0.6678, 0.9824)
Nd (0.3322, 0.9792, 0.5176)
Nd (0.5000, 0.5000, 0.0000)
Nd (0.5000, 0.5000, 0.5000)
Nd (0.6678, 0.0208, 0.4824)
Nd (0.9792, 0.3322, 0.0176)
Sm (0.3761, 0.6239, 0.2500)
Sm (0.6239, 0.3761, 0.7500)

Largest 8 diffraction maxima, by angle, 10 to 90 degrees two-theta:
28.1 deg, intensity 52
29.9 deg, intensity 38
30.1 deg, intensity 78
31.6 deg, intensity 100
31.9 deg, intensity 73
32.7 deg, intensity 83
34.4 deg, intensity 61
53.7 deg, intensity 38

=====

No. 3
Structure and computed powder diffractogram of Tb3Nd8Sm3 (a structure optimized by DFT (PBE); a wavelength of 1.5418 Å).

Crystal structure
Lattice parameters (Å, degrees): 9.8678 9.8678 9.8678 146.27 112.51 77.61
Fractional positions:
Tb (0.0000, 0.0000, 0.0000)
Tb (0.1815, 0.6815, 0.5000)
Tb (0.8185, 0.3185, 0.5000)
Nd (0.1178, 0.2756, 0.8423)
Nd (0.2334, 0.8960, 0.3374)
Nd (0.4333, 0.2756, 0.1577)
Nd (0.4415, 0.1040, 0.3374)
Nd (0.5585, 0.8960, 0.6626)
Nd (0.5667, 0.7244, 0.8423)
Nd (0.7666, 0.1040, 0.6626)
Nd (0.8822, 0.7244, 0.1577)
Sm (0.1960, 0.5000, 0.6960)
Sm (0.5000, 0.5000, 0.0000)
Sm (0.8040, 0.5000, 0.3040)

Largest 8 diffraction maxima, by angle, 10 to 90 degrees two-theta:
28.5 deg, intensity 11
29.1 deg, intensity 22
30.0 deg, intensity 18
31.3 deg, intensity 100
33.1 deg, intensity 32
43.9 deg, intensity 13
55.6 deg, intensity 13
60.1 deg, intensity 11

=====

No. 4
Structure and computed powder diffractogram of Tb10NdSm4 (a structure optimized by DFT (PBE); a wavelength of 1.5418 Å).

Crystal structure
Lattice parameters (Å, degrees): 8.8509 8.8509 8.8509 112.45 112.45 103.67
Fractional positions:
Tb (0.0460, 0.9488, 0.6576)
Tb (0.0512, 0.7087, 0.0971)
Tb (0.2500, 0.7500, 0.5000)
Tb (0.2913, 0.3884, 0.3424)
Tb (0.3884, 0.0460, 0.0971)
Tb (0.6116, 0.9540, 0.9029)
Tb (0.7087, 0.6116, 0.6576)
Tb (0.7500, 0.2500, 0.5000)
Tb (0.9488, 0.2913, 0.9029)
Tb (0.9540, 0.0512, 0.3424)
Nd (0.0000, 0.0000, 0.0000)
Sm (0.2117, 0.5548, 0.7666)
Sm (0.4452, 0.2117, 0.6569)
Sm (0.5548, 0.7883, 0.3431)
Sm (0.7883, 0.4452, 0.2334)

Largest 8 diffraction maxima, by angle, 10 to 90 degrees two-theta:
26.1 deg, intensity 28
28.7 deg, intensity 78
31.9 deg, intensity 100
33.1 deg, intensity 46
41.0 deg, intensity 27
41.3 deg, intensity 24
50.1 deg, intensity 21
58.7 deg, intensity 20

=====

No. 5
Structure and computed powder diffractogram of Tb3Nd5Sm (a structure optimized by DFT (PBE); a wavelength of 1.5418 Å).

Crystal structure
Lattice parameters (Å, degrees): 10.6507 10.6507 11.6961 120.60 120.60 34.23
Fractional positions:
Tb (0.0000, 0.0000, 0.0000)
Tb (0.0000, 0.0000, 0.5000)
Tb (0.0449, 0.6004, 0.9703)
Tb (0.3996, 0.9551, 0.5297)
Tb (0.6004, 0.0449, 0.4703)
Tb (0.9551, 0.3996, 0.0297)
Nd (0.0089, 0.6322, 0.6648)
Nd (0.1817, 0.5386, 0.3464)
Nd (0.3678, 0.9911, 0.8352)
Nd (0.4054, 0.5946, 0.7500)
Nd (0.4614, 0.8183, 0.1536)
Nd (0.5386, 0.1817, 0.8464)
Nd (0.5946, 0.4054, 0.2500)
Nd (0.6322, 0.0089, 0.1648)
Nd (0.8183, 0.4614, 0.6536)
Nd (0.9911, 0.3678, 0.3352)
Sm (0.1103, 0.8897, 0.2500)
Sm (0.8897, 0.1103, 0.7500)

Largest 8 diffraction maxima, by angle, 10 to 90 degrees two-theta:
28.5 deg, intensity 92
29.3 deg, intensity 96
30.0 deg, intensity 54
30.3 deg, intensity 55
31.1 deg, intensity 100
32.9 deg, intensity 42
33.5 deg, intensity 65
34.9 deg, intensity 42

=====

No. 6
Structure and computed powder diffractogram of Tb5Nd2Sm (a structure optimized by DFT (PBE); a wavelength of 1.5418 Å).

Crystal structure
Lattice parameters (Å, degrees): 7.1993 14.4001 5.0879 90.00 90.00 90.00
Fractional positions:
Tb (0.0000, 0.0000, 0.0000)
Tb (0.0007, 0.2496, 0.0000)
Tb (0.2495, 0.6253, 0.5000)
Tb (0.2505, 0.1253, 0.5000)
Tb (0.4993, 0.7496, 0.0000)
Tb (0.5000, 0.5000, 0.0000)
Tb (0.5007, 0.2504, 0.0000)
Tb (0.7495, 0.8747, 0.5000)
Tb (0.7505, 0.3747, 0.5000)
Tb (0.9993, 0.7504, 0.0000)
Nd (0.2492, 0.8747, 0.5000)
Nd (0.2508, 0.3747, 0.5000)
Nd (0.7492, 0.6253, 0.5000)
Nd (0.7508, 0.1253, 0.5000)
Sm (0.0000, 0.5000, 0.0000)
Sm (0.5000, 0.0000, 0.0000)

Largest 8 diffraction maxima, by angle, 10 to 90 degrees two-theta:
30.4 deg, intensity 100
35.3 deg, intensity 51
50.7 deg, intensity 36
60.3 deg, intensity 43
63.3 deg, intensity 12
74.6 deg, intensity 6
82.6 deg, intensity 18
85.3 deg, intensity 17

=====

No. 7
Structure and computed powder diffractogram of Tb2NdSm (a structure optimized by DFT (PBE); a wavelength of 1.5418 Å).

Crystal structure
Lattice parameters (Å, degrees): 12.1619 6.3277 3.6569 90.00 107.43 90.00
Fractional positions:
Tb (0.2493, 0.0000, 0.2477)
Tb (0.2507, 0.5000, 0.7523)
Tb (0.7493, 0.5000, 0.2477)
Tb (0.7507, 0.0000, 0.7523)
Nd (0.0000, 0.6676, 0.0000)
Nd (0.5000, 0.1676, 0.0000)
Sm (0.0000, 0.1688, 0.5000)
Sm (0.5000, 0.6688, 0.5000)

Largest 8 diffraction maxima, by angle, 10 to 90 degrees two-theta:
28.2 deg, intensity 24
30.8 deg, intensity 25
32.2 deg, intensity 100
42.3 deg, intensity 16
49.9 deg, intensity 20
55.7 deg, intensity 21
59.8 deg, intensity 23
60.6 deg, intensity 16

=====

No. 8
Structure and computed powder diffractogram of TbNd12Sm6 (a structure optimized by DFT (PBE); a wavelength of 1.5418 Å).

Crystal structure
Lattice parameters (Å, degrees): 8.7455 8.7455 8.7455 89.14 89.14 89.14
Fractional positions:
Tb (0.0000, 0.0000, 0.0000)
Nd (0.0176, 0.3606, 0.1938)
Nd (0.1938, 0.0176, 0.3606)
Nd (0.2201, 0.5657, 0.4640)
Nd (0.3606, 0.1938, 0.0176)
Nd (0.4343, 0.5360, 0.7799)
Nd (0.4640, 0.2201, 0.5657)
Nd (0.5360, 0.7799, 0.4343)
Nd (0.5657, 0.4640, 0.2201)
Nd (0.6394, 0.8062, 0.9824)
Nd (0.7799, 0.4343, 0.5360)
Nd (0.8062, 0.9824, 0.6394)
Nd (0.9824, 0.6394, 0.8062)
Sm (0.0962, 0.2612, 0.7000)
Sm (0.2612, 0.7000, 0.0962)
Sm (0.3000, 0.9038, 0.7388)
Sm (0.7000, 0.0962, 0.2612)
Sm (0.7388, 0.3000, 0.9038)
Sm (0.9038, 0.7388, 0.3000)

Largest 8 diffraction maxima, by angle, 10 to 90 degrees two-theta:
30.3 deg, intensity 42
30.7 deg, intensity 28
30.9 deg, intensity 100
32.2 deg, intensity 66
32.5 deg, intensity 30
34.1 deg, intensity 18
44.0 deg, intensity 13
53.8 deg, intensity 19

=====

No. 9
Structure and computed powder diffractogram of Tb4NdSm2 (a structure optimized by DFT (PBE); a wavelength of 1.5418 Å).

Crystal structure
Lattice parameters (Å, degrees): 16.8885 3.5619 8.8408 90.00 119.61 90.00
Fractional positions:
Tb (0.1444, 0.0000, 0.3414)
Tb (0.2063, 0.0000, 0.7936)
Tb (0.2937, 0.5000, 0.2064)
Tb (0.3556, 0.5000, 0.6586)
Tb (0.6444, 0.5000, 0.3414)
Tb (0.7063, 0.5000, 0.7936)
Tb (0.7937, 0.0000, 0.2064)
Tb (0.8556, 0.0000, 0.6586)
Nd (0.0000, 0.5000, 0.5000)
Nd (0.5000, 0.0000, 0.5000)
Sm (0.0695, 0.5000, 0.9285)
Sm (0.4305, 0.0000, 0.0715)
Sm (0.5695, 0.0000, 0.9285)
Sm (0.9305, 0.5000, 0.0715)

Largest 8 diffraction maxima, by angle, 10 to 90 degrees two-theta:
29.8 deg, intensity 37
31.1 deg, intensity 100
31.2 deg, intensity 48
32.5 deg, intensity 44
32.7 deg, intensity 44
41.3 deg, intensity 14
47.7 deg, intensity 19
61.3 deg, intensity 29

=====

No. 10
Structure and computed powder diffractogram of TbNd2Sm7 (a structure optimized by DFT (PBE); a wavelength of 1.5418 Å).

Crystal structure
Lattice parameters (Å, degrees): 15.0369 15.0369 3.4962 90.00 90.00 154.28
Fractional positions:
Tb (0.0000, 0.0000, 0.0000)
Nd (0.2952, 0.7048, 0.5000)
Nd (0.7048, 0.2952, 0.5000)
Sm (0.1470, 0.3434, 0.5000)
Sm (0.1877, 0.8123, 0.0000)
Sm (0.3434, 0.1470, 0.5000)
Sm (0.5000, 0.5000, 0.5000)
Sm (0.6566, 0.8530, 0.5000)
Sm (0.8123, 0.1877, 0.0000)
Sm (0.8530, 0.6566, 0.5000)

Largest 8 diffraction maxima, by angle, 10 to 90 degrees two-theta:
29.0 deg, intensity 41
29.3 deg, intensity 68
30.5 deg, intensity 79
31.5 deg, intensity 33
32.4 deg, intensity 73
32.7 deg, intensity 100
39.2 deg, intensity 26
62.9 deg, intensity 24

=====

No. 11
Structure and computed powder diffractogram of Tb3NdSm7 (a structure optimized by DFT (PBE); a wavelength of 1.5418 Å).

Crystal structure
Lattice parameters (Å, degrees): 8.5312 8.5312 8.5312 139.45 96.92 96.87
Fractional positions:
Tb (0.0000, 0.0000, 0.0000)
Tb (0.2034, 0.7034, 0.5000)
Tb (0.7966, 0.2966, 0.5000)
Nd (0.5000, 0.5000, 0.0000)
Sm (0.0032, 0.2031, 0.8002)
Sm (0.2085, 0.5000, 0.7085)
Sm (0.4029, 0.2031, 0.1998)
Sm (0.5000, 0.0000, 0.5000)
Sm (0.5971, 0.7969, 0.8002)
Sm (0.7915, 0.5000, 0.2915)
Sm (0.9968, 0.7969, 0.1998)

Largest 8 diffraction maxima, by angle, 10 to 90 degrees two-theta:
24.9 deg, intensity 16
28.1 deg, intensity 11
30.2 deg, intensity 38
31.6 deg, intensity 30
32.3 deg, intensity 100
44.3 deg, intensity 24
55.0 deg, intensity 22
61.7 deg, intensity 18

=====

No. 12
Structure and computed powder diffractogram of Tb2Nd3Sm (a structure optimized by DFT (PBE); a wavelength of 1.5418 Å).

Crystal structure
Lattice parameters (Å, degrees): 6.2905 6.2905 12.0494 110.34 110.34 70.55
Fractional positions:
Tb (0.0412, 0.2916, 0.0828)
Tb (0.2916, 0.0412, 0.5828)
Tb (0.7084, 0.9588, 0.4172)
Tb (0.9588, 0.7084, 0.9172)
Nd (0.1245, 0.8755, 0.2500)
Nd (0.2080, 0.4586, 0.4165)
Nd (0.4586, 0.2080, 0.9165)
Nd (0.5414, 0.7920, 0.0835)
Nd (0.7920, 0.5414, 0.5835)
Nd (0.8755, 0.1245, 0.7500)
Sm (0.3756, 0.6244, 0.7500)
Sm (0.6244, 0.3756, 0.2500)

Largest 8 diffraction maxima, by angle, 10 to 90 degrees two-theta:
30.1 deg, intensity 100
34.9 deg, intensity 51
50.2 deg, intensity 36
59.7 deg, intensity 43
62.6 deg, intensity 12
73.8 deg, intensity 6
81.7 deg, intensity 18
84.3 deg, intensity 16

=====

Repeat the eighth record exactly.
Structure and computed powder diffractogram of TbNd12Sm6 (a structure optimized by DFT (PBE); a wavelength of 1.5418 Å).

Crystal structure
Lattice parameters (Å, degrees): 8.7455 8.7455 8.7455 89.14 89.14 89.14
Fractional positions:
Tb (0.0000, 0.0000, 0.0000)
Nd (0.0176, 0.3606, 0.1938)
Nd (0.1938, 0.0176, 0.3606)
Nd (0.2201, 0.5657, 0.4640)
Nd (0.3606, 0.1938, 0.0176)
Nd (0.4343, 0.5360, 0.7799)
Nd (0.4640, 0.2201, 0.5657)
Nd (0.5360, 0.7799, 0.4343)
Nd (0.5657, 0.4640, 0.2201)
Nd (0.6394, 0.8062, 0.9824)
Nd (0.7799, 0.4343, 0.5360)
Nd (0.8062, 0.9824, 0.6394)
Nd (0.9824, 0.6394, 0.8062)
Sm (0.0962, 0.2612, 0.7000)
Sm (0.2612, 0.7000, 0.0962)
Sm (0.3000, 0.9038, 0.7388)
Sm (0.7000, 0.0962, 0.2612)
Sm (0.7388, 0.3000, 0.9038)
Sm (0.9038, 0.7388, 0.3000)

Largest 8 diffraction maxima, by angle, 10 to 90 degrees two-theta:
30.3 deg, intensity 42
30.7 deg, intensity 28
30.9 deg, intensity 100
32.2 deg, intensity 66
32.5 deg, intensity 30
34.1 deg, intensity 18
44.0 deg, intensity 13
53.8 deg, intensity 19